Record 1
# CuNiTe4
Simulated powder X-ray diffraction pattern, Cu Kα, 1.54184 Å. Input: a cell relaxed with PBE.
Neutral-atom scattering factors, no anomalous dispersion.

Largest 12 diffraction maxima, by angle, 10 to 90 degrees two-theta:
25.77°, d 3.458, intensity 8; 30.74°, d 2.908, intensity 38; 31.08°, d 2.877, intensity 25; 31.35°, d 2.853, intensity 100; 34.34°, d 2.612, intensity 13; 43.01°, d 2.103, intensity 10; 43.37°, d 2.086, intensity 16; 43.81°, d 2.067, intensity 22; 45.58°, d 1.990, intensity 34; 46.02°, d 1.972, intensity 18; 56.37°, d 1.632, intensity 22; 59.31°, d 1.558, intensity 12

Cell: 6.5166 6.5166 6.9167 Å, 121.04 121.04 35.23°
Fractional coordinates of all 6 atoms:
Cu  0.0000  0.0000  0.0000
Ni  0.5000  0.5000  0.5000
Te  0.1220  0.1220  0.4480
Te  0.3627  0.3627  0.0560
Te  0.6373  0.6373  0.9440
Te  0.8780  0.8780  0.5520

***

Record 2
# ThCu3Ni8
Simulated powder X-ray diffraction pattern, Cu Kα, 1.54184 Å. Input: a cell relaxed with PBE.
Neutral-atom scattering factors, no anomalous dispersion.

Largest 12 diffraction maxima, by angle, 10 to 90 degrees two-theta:
21.43°, d 4.147, intensity 20; 24.23°, d 3.673, intensity 41; 31.24°, d 2.863, intensity 46; 37.56°, d 2.394, intensity 52; 40.53°, d 2.226, intensity 89; 43.65°, d 2.074, intensity 18; 44.21°, d 2.049, intensity 100; 45.20°, d 2.006, intensity 85; 69.79°, d 1.348, intensity 33; 72.42°, d 1.305, intensity 22; 75.59°, d 1.258, intensity 28; 80.17°, d 1.197, intensity 25

Cell: 4.7887 4.7887 7.9136 Å, 90.00 90.00 120.00°
Fractional coordinates of all 12 atoms:
Th  0.0000  0.0000  0.0000
Cu  0.0000  0.0000  0.3955
Cu  0.6667  0.3333  0.4840
Cu  0.6667  0.3333  0.8051
Ni  0.1651  0.3302  0.6739
Ni  0.1651  0.8349  0.6739
Ni  0.3333  0.6667  0.4341
Ni  0.3333  0.6667  0.9302
Ni  0.5027  0.0053  0.1989
Ni  0.5027  0.4973  0.1989
Ni  0.6698  0.8349  0.6739
Ni  0.9947  0.4973  0.1989

***

Record 3
# Th2Cu3Ni
Simulated powder X-ray diffraction pattern, Cu Kα, 1.54184 Å. Input: a cell relaxed with PBE.
Neutral-atom scattering factors, no anomalous dispersion.

Largest 12 diffraction maxima, by angle, 10 to 90 degrees two-theta:
23.78°, d 3.741, intensity 36; 24.00°, d 3.708, intensity 17; 34.63°, d 2.590, intensity 100; 34.78°, d 2.579, intensity 50; 41.69°, d 2.167, intensity 23; 42.08°, d 2.147, intensity 45; 50.87°, d 1.795, intensity 13; 55.38°, d 1.659, intensity 27; 55.81°, d 1.647, intensity 13; 68.09°, d 1.377, intensity 21; 71.56°, d 1.319, intensity 12; 72.29°, d 1.307, intensity 12

Cell: 8.5892 8.2393 5.6269 Å, 73.86 67.14 39.00°
Fractional coordinates of all 12 atoms:
Th  0.2464  0.7536  0.7536
Th  0.2500  0.2500  0.2500
Th  0.7500  0.7500  0.7500
Th  0.7536  0.2464  0.2464
Cu  0.1676  0.6649  0.3351
Cu  0.3329  0.3329  0.6671
Cu  0.3351  0.8324  0.1676
Cu  0.6649  0.1676  0.8324
Cu  0.6671  0.6671  0.3329
Cu  0.8324  0.3351  0.6649
Ni  0.1645  0.1645  0.8355
Ni  0.8355  0.8355  0.1645

***

Record 4
# ThCu2Ni2
Simulated powder X-ray diffraction pattern, Cu Kα, 1.54184 Å. Input: a cell relaxed with PBE.
Neutral-atom scattering factors, no anomalous dispersion.

Largest 12 diffraction maxima, by angle, 10 to 90 degrees two-theta:
23.51°, d 3.784, intensity 38; 27.02°, d 3.300, intensity 40; 28.04°, d 3.182, intensity 74; 36.45°, d 2.465, intensity 100; 39.01°, d 2.309, intensity 55; 39.11°, d 2.303, intensity 30; 39.34°, d 2.290, intensity 59; 39.54°, d 2.279, intensity 58; 48.55°, d 1.875, intensity 52; 54.44°, d 1.685, intensity 52; 70.98°, d 1.328, intensity 27; 84.01°, d 1.152, intensity 25

Cell: 8.0549 7.1144 5.3283 Å, 79.26 60.20 40.54°
Fractional coordinates of all 10 atoms:
Th  0.1250  0.1250  0.1250
Th  0.8750  0.8750  0.8750
Cu  0.2746  0.2746  0.4754
Cu  0.4754  0.4754  0.2746
Cu  0.5246  0.5246  0.7254
Cu  0.7254  0.7254  0.5246
Ni  0.1546  0.5954  0.1546
Ni  0.4046  0.8454  0.4046
Ni  0.5954  0.1546  0.5954
Ni  0.8454  0.4046  0.8454

***

Record 5
# Th3CuNi8
Simulated powder X-ray diffraction pattern, Cu Kα, 1.54184 Å. Input: a cell relaxed with PBE.
Neutral-atom scattering factors, no anomalous dispersion.

Largest 12 diffraction maxima, by angle, 10 to 90 degrees two-theta:
21.50°, d 4.133, intensity 42; 26.99°, d 3.303, intensity 23; 32.21°, d 2.779, intensity 35; 35.11°, d 2.556, intensity 64; 35.54°, d 2.526, intensity 85; 41.36°, d 2.183, intensity 56; 41.73°, d 2.164, intensity 100; 41.92°, d 2.155, intensity 63; 43.81°, d 2.066, intensity 29; 63.55°, d 1.464, intensity 24; 67.79°, d 1.382, intensity 25; 75.24°, d 1.263, intensity 27

Cell: 8.8900 8.8900 8.8900 Å, 33.01 33.01 33.01°
Fractional coordinates of all 12 atoms:
Th  0.0000  0.0000  0.0000
Th  0.1295  0.1295  0.1295
Th  0.6045  0.6045  0.6045
Cu  0.4830  0.4830  0.4830
Ni  0.0544  0.0544  0.5629
Ni  0.0544  0.5629  0.0544
Ni  0.0595  0.5586  0.5586
Ni  0.3080  0.3080  0.3080
Ni  0.5586  0.0595  0.5586
Ni  0.5586  0.5586  0.0595
Ni  0.5629  0.0544  0.0544
Ni  0.8083  0.8083  0.8083

***

Record 6
# Th2Cu5Ni4
Simulated powder X-ray diffraction pattern, Cu Kα, 1.54184 Å. Input: a cell relaxed with PBE.
Neutral-atom scattering factors, no anomalous dispersion.

Largest 12 diffraction maxima, by angle, 10 to 90 degrees two-theta:
21.92°, d 4.054, intensity 34; 26.56°, d 3.356, intensity 85; 30.31°, d 2.949, intensity 71; 36.69°, d 2.449, intensity 52; 40.03°, d 2.252, intensity 100; 42.05°, d 2.149, intensity 22; 42.23°, d 2.140, intensity 49; 42.91°, d 2.108, intensity 82; 44.70°, d 2.027, intensity 43; 46.10°, d 1.969, intensity 30; 54.20°, d 1.692, intensity 32; 63.18°, d 1.472, intensity 24

Cell: 9.1772 8.4760 4.9554 Å, 81.66 66.04 32.29°
Fractional coordinates of all 11 atoms:
Th  0.1363  0.1363  0.8637
Th  0.8637  0.8637  0.1363
Cu  0.0000  0.0000  0.5000
Cu  0.2500  0.2500  0.2500
Cu  0.5000  0.5000  0.0000
Cu  0.5000  0.5000  0.5000
Cu  0.7500  0.7500  0.7500
Ni  0.2119  0.5345  0.4655
Ni  0.4655  0.7881  0.2119
Ni  0.5345  0.2119  0.7881
Ni  0.7881  0.4655  0.5345

***

Record 7
# ThZnCuNi2
Simulated powder X-ray diffraction pattern, Cu Kα, 1.54184 Å. Input: a cell relaxed with PBE.
Neutral-atom scattering factors, no anomalous dispersion.

Largest 12 diffraction maxima, by angle, 10 to 90 degrees two-theta:
14.09°, d 6.288, intensity 42; 25.55°, d 3.486, intensity 37; 28.39°, d 3.144, intensity 37; 32.64°, d 2.743, intensity 100; 34.77°, d 2.580, intensity 41; 37.69°, d 2.387, intensity 36; 38.06°, d 2.365, intensity 81; 43.80°, d 2.067, intensity 83; 50.29°, d 1.814, intensity 26; 52.50°, d 1.743, intensity 28; 57.22°, d 1.610, intensity 23; 68.61°, d 1.368, intensity 21

Cell: 6.7964 6.7964 5.1036 Å, 90.00 90.00 135.38°
Fractional coordinates of all 10 atoms:
Th  0.2500  0.7500  0.7626
Th  0.7500  0.2500  0.2374
Zn  0.0000  0.0000  0.0000
Zn  0.5000  0.5000  0.0000
Cu  0.2500  0.2500  0.5000
Cu  0.7500  0.7500  0.5000
Ni  0.1523  0.8477  0.2825
Ni  0.3477  0.6523  0.2825
Ni  0.6523  0.3477  0.7175
Ni  0.8477  0.1523  0.7175

***

Record 8
# Ti11Cu9Ni4
Simulated powder X-ray diffraction pattern, Cu Kα, 1.54184 Å. Input: a cell relaxed with PBE.
Neutral-atom scattering factors, no anomalous dispersion.

Largest 12 diffraction maxima, by angle, 10 to 90 degrees two-theta:
30.39°, d 2.942, intensity 13; 39.00°, d 2.310, intensity 23; 39.61°, d 2.276, intensity 13; 40.41°, d 2.232, intensity 29; 41.19°, d 2.192, intensity 100; 42.16°, d 2.143, intensity 91; 42.56°, d 2.124, intensity 91; 44.03°, d 2.057, intensity 31; 45.34°, d 2.000, intensity 16; 63.22°, d 1.471, intensity 22; 78.28°, d 1.221, intensity 33; 80.22°, d 1.197, intensity 14

Cell: 11.2180 11.2180 2.9415 Å, 90.00 90.00 113.61°
Fractional coordinates of all 24 atoms:
Ti  0.0000  0.0000  0.0000
Ti  0.0575  0.4056  0.0000
Ti  0.1646  0.8354  0.0000
Ti  0.2923  0.2923  0.0000
Ti  0.3675  0.6325  0.0000
Ti  0.4056  0.0575  0.0000
Ti  0.5944  0.9425  0.0000
Ti  0.6325  0.3675  0.0000
Ti  0.7077  0.7077  0.0000
Ti  0.8354  0.1646  0.0000
Ti  0.9425  0.5944  0.0000
Cu  0.0701  0.2112  0.5000
Cu  0.1610  0.6285  0.5000
Cu  0.2112  0.0701  0.5000
Cu  0.3715  0.8390  0.5000
Cu  0.5000  0.5000  0.5000
Cu  0.6285  0.1610  0.5000
Cu  0.7888  0.9299  0.5000
Cu  0.8390  0.3715  0.5000
Cu  0.9299  0.7888  0.5000
Ni  0.2467  0.4465  0.5000
Ni  0.4465  0.2467  0.5000
Ni  0.5535  0.7533  0.5000
Ni  0.7533  0.5535  0.5000